Starting from a DFT-relaxed cell (PBE+U, the Materials Project), the X-ray diffraction stick pattern of K4CoMo4O15 was calculated for Cu Kα (weighted mean of Kα1 and Kα2).

Peak list (10 most intense, 5 to 70 degrees two-theta, in order of falling intensity)
d/Å	Position (°2θ)	Rel. int.
3.256	27.4	100
3.025	29.5	93
4.432	20.0	59
8.310	10.6	36
9.076	9.7	25
2.645	33.9	25
1.788	51.1	23
1.611	57.2	23
2.843	31.5	22
3.065	29.1	21

Structural model:
a b c (Å): 10.480 10.480 8.310
angles (deg): 90.00 90.00 120.00
Fractional coordinates of all 48 atoms:
K  0.000  0.000  0.000
K  0.000  0.000  0.500
K  0.092  0.695  0.140
K  0.305  0.397  0.140
K  0.397  0.092  0.860
K  0.603  0.908  0.140
K  0.695  0.603  0.860
K  0.908  0.305  0.860
Co  0.333  0.667  0.474
Co  0.667  0.333  0.526
Mo  0.013  0.671  0.635
Mo  0.329  0.342  0.635
Mo  0.333  0.667  0.851
Mo  0.342  0.013  0.365
Mo  0.658  0.987  0.635
Mo  0.667  0.333  0.149
Mo  0.671  0.658  0.365
Mo  0.987  0.329  0.365
O  0.004  0.784  0.790
O  0.010  0.739  0.442
O  0.150  0.511  0.346
O  0.176  0.519  0.945
O  0.185  0.662  0.654
O  0.216  0.220  0.790
O  0.220  0.004  0.210
O  0.261  0.270  0.442
O  0.270  0.010  0.558
O  0.338  0.523  0.654
O  0.343  0.824  0.945
O  0.361  0.850  0.346
O  0.477  0.815  0.654
O  0.481  0.657  0.945
O  0.489  0.639  0.346
O  0.511  0.361  0.654
O  0.519  0.343  0.055
O  0.523  0.185  0.346
O  0.639  0.150  0.654
O  0.657  0.176  0.055
O  0.662  0.477  0.346
O  0.730  0.990  0.442
O  0.739  0.730  0.558
O  0.780  0.996  0.790
O  0.784  0.780  0.210
O  0.815  0.338  0.346
O  0.824  0.481  0.055
O  0.850  0.489  0.654
O  0.990  0.261  0.558
O  0.996  0.216  0.210


Starting from a DFT-relaxed cell (PBE+U, the Materials Project), the X-ray diffraction stick pattern of LiFePO5 was calculated for Cu Kα (weighted mean of Kα1 and Kα2).

Peak list (10 most intense, 5 to 70 degrees two-theta, in order of falling intensity)
d/Å	Position (°2θ)	Rel. int.
3.224	27.7	100
3.202	27.9	75
4.996	17.8	45
2.457	36.6	35
3.993	22.3	31
4.867	18.2	24
3.359	26.5	24
1.665	55.2	19
2.062	43.9	18
1.762	51.9	14

Structural model:
a b c (Å): 7.266 7.986 7.050
angles (deg): 90.00 118.20 90.00
Fractional coordinates of all 32 atoms:
Li  0.248  0.062  0.279
Li  0.248  0.438  0.779
Li  0.752  0.562  0.221
Li  0.752  0.938  0.721
Fe  0.250  0.746  0.500
Fe  0.250  0.754  0.000
Fe  0.750  0.246  0.000
Fe  0.750  0.254  0.500
P  0.250  0.108  0.749
P  0.250  0.392  0.249
P  0.750  0.608  0.751
P  0.750  0.892  0.251
O  0.065  0.236  0.652
O  0.065  0.264  0.152
O  0.237  0.501  0.423
O  0.237  0.999  0.923
O  0.250  0.678  0.751
O  0.250  0.822  0.251
O  0.260  0.000  0.572
O  0.260  0.500  0.072
O  0.435  0.235  0.848
O  0.435  0.265  0.348
O  0.565  0.735  0.652
O  0.565  0.765  0.152
O  0.740  0.000  0.428
O  0.740  0.500  0.928
O  0.750  0.178  0.749
O  0.750  0.322  0.249
O  0.763  0.001  0.077
O  0.763  0.499  0.577
O  0.935  0.736  0.848
O  0.935  0.764  0.348


Starting from a DFT-relaxed cell (PBE+U, the Materials Project), the X-ray diffraction stick pattern of Mn2O3F was calculated for Cu Kα (weighted mean of Kα1 and Kα2).

Peak list (10 most intense, 5 to 70 degrees two-theta, in order of falling intensity)
d/Å	Position (°2θ)	Rel. int.
2.518	35.7	100
3.167	28.2	92
3.309	26.9	87
1.673	54.9	54
1.714	53.5	52
1.361	69.0	47
2.229	40.5	17
1.508	61.5	16
1.654	55.6	16
2.288	39.4	15

Structural model:
a b c (Å): 15.077 4.580 4.580
angles (deg): 87.50 90.00 90.00
Fractional coordinates of all 30 atoms:
Mn  0.000  0.000  0.000
Mn  0.100  0.476  0.476
Mn  0.200  0.951  0.951
Mn  0.300  0.475  0.475
Mn  0.399  0.994  0.994
Mn  0.500  0.462  0.462
Mn  0.601  0.994  0.994
Mn  0.700  0.475  0.475
Mn  0.800  0.951  0.951
Mn  0.900  0.476  0.476
O  0.000  0.289  0.289
O  0.100  0.168  0.784
O  0.100  0.784  0.168
O  0.200  0.663  0.663
O  0.300  0.163  0.779
O  0.300  0.779  0.163
O  0.399  0.285  0.285
O  0.500  0.182  0.791
O  0.500  0.791  0.182
O  0.601  0.285  0.285
O  0.700  0.163  0.779
O  0.700  0.779  0.163
O  0.800  0.663  0.663
O  0.900  0.168  0.784
O  0.900  0.784  0.168
F  0.000  0.696  0.696
F  0.200  0.255  0.255
F  0.405  0.685  0.685
F  0.595  0.685  0.685
F  0.800  0.255  0.255